# 1
DyTmTh4: theoretical powder XRD pattern (Cu Kα (weighted mean of Kα1 and Kα2)), based on a DFT-relaxed cell (GGA-PBE, Alexandria).
Intensities are scaled so that the largest is 100.

Main lines, in order of rising 2θ (15 to 90 degrees two-theta):
2θ = 25.58°, d = 3.482 Å, intensity 7
2θ = 31.44°, d = 2.846 Å, intensity 100
2θ = 40.95°, d = 2.204 Å, intensity 12
2θ = 45.06°, d = 2.012 Å, intensity 17
2θ = 55.96°, d = 1.643 Å, intensity 29
2θ = 62.53°, d = 1.485 Å, intensity 20
2θ = 65.59°, d = 1.423 Å, intensity 7
2θ = 74.55°, d = 1.273 Å, intensity 8
2θ = 80.34°, d = 1.195 Å, intensity 8
2θ = 88.79°, d = 1.102 Å, intensity 7

```
DyTmTh4
1.0
3.4821 0.0000 0.0000
0.0000 5.6972 0.0000
0.0000 0.0000 9.8540
Dy Tm Th
1 1 4
Cartesian
0.0000 0.0000 0.0000
0.0000 2.8486 4.9270
1.7410 0.0000 3.2922
1.7410 0.0000 6.5618
1.7410 2.8486 1.6537
1.7410 2.8486 8.2003
```


# 2
DyTmTh: theoretical powder XRD pattern (Cu Kα (weighted mean of Kα1 and Kα2)), based on a DFT-relaxed cell (GGA-PBE, Alexandria).
Intensities are scaled so that the largest is 100.

Main lines, in order of rising 2θ (15 to 90 degrees two-theta):
2θ = 29.76°, d = 3.002 Å, intensity 37
2θ = 31.31°, d = 2.857 Å, intensity 47
2θ = 31.43°, d = 2.846 Å, intensity 100
2θ = 34.82°, d = 2.576 Å, intensity 77
2θ = 38.07°, d = 2.364 Å, intensity 19
2θ = 51.25°, d = 1.783 Å, intensity 36
2θ = 53.53°, d = 1.712 Å, intensity 23
2θ = 60.17°, d = 1.538 Å, intensity 16
2θ = 61.31°, d = 1.512 Å, intensity 58
2θ = 87.49°, d = 1.115 Å, intensity 22

```
DyTmTh
1.0
1.7826 1.0292 17.1433
-1.7826 1.0292 17.1433
0.0000 -2.0583 17.1433
Dy Tm Th
2 2 2
Cartesian
0.0000 0.0000 9.9925
0.0000 0.0000 41.4375
0.0000 0.0000 4.2892
0.0000 0.0000 47.1408
0.0000 0.0000 18.5662
0.0000 0.0000 32.8638
```


# 3
DyTm4Th3: theoretical powder XRD pattern (Cu Kα (weighted mean of Kα1 and Kα2)), based on a DFT-relaxed cell (GGA-PBE, Alexandria).
Intensities are scaled so that the largest is 100.

Main lines, in order of rising 2θ (15 to 90 degrees two-theta):
2θ = 30.97°, d = 2.888 Å, intensity 100
2θ = 35.91°, d = 2.501 Å, intensity 51
2θ = 51.69°, d = 1.768 Å, intensity 37
2θ = 61.42°, d = 1.510 Å, intensity 15
2θ = 61.52°, d = 1.507 Å, intensity 29
2θ = 64.54°, d = 1.444 Å, intensity 13
2θ = 76.19°, d = 1.250 Å, intensity 4
2θ = 84.42°, d = 1.147 Å, intensity 18
2θ = 87.04°, d = 1.120 Å, intensity 6
2θ = 87.20°, d = 1.118 Å, intensity 12

```
DyTm4Th3
1.0
4.9976 0.0000 0.0000
0.0000 10.0176 0.0000
0.0000 0.0000 9.9972
Dy Tm Th
2 8 6
Cartesian
1.2494 2.5044 1.2523
3.7482 7.5132 8.7450
1.2494 2.5044 6.2643
1.2494 5.0191 3.7556
1.2494 7.5132 6.2348
1.2494 10.0073 3.7556
3.7482 0.0103 6.2416
3.7482 2.5044 3.7625
3.7482 4.9985 6.2416
3.7482 7.5132 3.7329
1.2494 0.0220 8.7448
1.2494 4.9868 8.7448
1.2494 7.5132 1.2661
3.7482 2.5044 8.7312
3.7482 5.0308 1.2524
3.7482 9.9956 1.2524
```


# 4
Dy2Tm8Th3: theoretical powder XRD pattern (Cu Kα (weighted mean of Kα1 and Kα2)), based on a DFT-relaxed cell (GGA-PBE, Alexandria).
Intensities are scaled so that the largest is 100.

Main lines, in order of rising 2θ (15 to 90 degrees two-theta):
2θ = 25.70°, d = 3.466 Å, intensity 12
2θ = 32.18°, d = 2.781 Å, intensity 100
2θ = 32.51°, d = 2.754 Å, intensity 69
2θ = 32.74°, d = 2.736 Å, intensity 29
2θ = 33.39°, d = 2.683 Å, intensity 47
2θ = 33.91°, d = 2.643 Å, intensity 15
2θ = 34.71°, d = 2.584 Å, intensity 18
2θ = 55.01°, d = 1.669 Å, intensity 12
2θ = 59.40°, d = 1.556 Å, intensity 13
2θ = 64.64°, d = 1.442 Å, intensity 13

```
Dy2Tm8Th3
1.0
7.3191 -4.5963 0.0000
7.3191 4.5963 0.0000
-1.1091 0.0000 6.4623
Dy Tm Th
2 8 3
Cartesian
2.8412 0.0000 1.8878
10.6879 0.0000 4.5746
2.0086 0.0000 5.0769
5.6034 1.6414 0.4070
5.4329 0.0000 4.0863
7.9257 1.6414 6.0553
5.6034 -1.6414 0.4070
8.0961 0.0000 2.3760
7.9257 -1.6414 6.0553
11.5204 0.0000 1.3855
0.0000 0.0000 0.0000
6.7645 3.0322 3.2312
6.7645 -3.0322 3.2312
```


# 5
Dy4Tm8Th: theoretical powder XRD pattern (Cu Kα (weighted mean of Kα1 and Kα2)), based on a DFT-relaxed cell (GGA-PBE, Alexandria).
Intensities are scaled so that the largest is 100.

Main lines, in order of rising 2θ (15 to 90 degrees two-theta):
2θ = 27.60°, d = 3.232 Å, intensity 17
2θ = 31.31°, d = 2.857 Å, intensity 24
2θ = 32.05°, d = 2.793 Å, intensity 21
2θ = 32.48°, d = 2.757 Å, intensity 100
2θ = 33.60°, d = 2.668 Å, intensity 19
2θ = 33.89°, d = 2.645 Å, intensity 18
2θ = 38.10°, d = 2.362 Å, intensity 42
2θ = 54.03°, d = 1.697 Å, intensity 30
2θ = 55.93°, d = 1.644 Å, intensity 24
2θ = 65.32°, d = 1.429 Å, intensity 19

```
Dy4Tm8Th
1.0
3.3946 1.9598 10.5792
-3.3946 1.9598 10.5792
0.0000 -3.9197 10.5792
Dy Tm Th
4 8 1
Cartesian
0.0000 0.0000 0.0000
-1.6973 -0.9799 10.5792
-1.6973 0.9799 21.1584
0.0000 1.9598 10.5792
0.0000 0.0000 6.3538
-1.7277 -0.9975 18.3724
0.0000 -1.9950 13.3653
-1.7277 0.9975 13.3653
1.7277 -0.9975 18.3723
0.0000 1.9950 18.3723
1.7277 0.9975 13.3653
0.0000 0.0000 25.3839
0.0000 0.0000 15.8688
```


# 6
Dy5TmTh2: theoretical powder XRD pattern (Cu Kα (weighted mean of Kα1 and Kα2)), based on a DFT-relaxed cell (GGA-PBE, Alexandria).
Intensities are scaled so that the largest is 100.

Main lines, in order of rising 2θ (15 to 90 degrees two-theta):
2θ = 26.98°, d = 3.305 Å, intensity 20
2θ = 29.13°, d = 3.066 Å, intensity 12
2θ = 30.05°, d = 2.974 Å, intensity 42
2θ = 30.95°, d = 2.889 Å, intensity 17
2θ = 31.23°, d = 2.864 Å, intensity 100
2θ = 35.00°, d = 2.564 Å, intensity 22
2θ = 38.02°, d = 2.367 Å, intensity 34
2θ = 40.82°, d = 2.211 Å, intensity 13
2θ = 55.59°, d = 1.653 Å, intensity 20
2θ = 65.15°, d = 1.432 Å, intensity 21

```
Dy5TmTh2
1.0
-3.2688 6.6102 5.9478
3.2688 -6.6102 5.9478
3.2688 6.6102 -5.9478
Dy Tm Th
10 2 4
Cartesian
0.0000 1.5709 0.3667
1.6344 6.3830 -2.9739
1.6344 -0.2271 2.9739
3.2688 3.3051 -0.1577
0.0000 5.0393 0.3667
3.2688 1.5709 5.5811
0.0000 3.3051 6.1055
-1.6344 6.8373 2.9739
1.6344 6.8373 2.9739
3.2688 5.0393 5.5811
3.2688 -3.3051 3.4792
0.0000 9.9153 2.4686
3.2688 0.0000 0.0000
-1.6344 3.3051 2.9739
0.0000 0.0000 5.9478
1.6344 3.3051 2.9739
```


# 7
Dy2Tm4Th5: theoretical powder XRD pattern (Cu Kα (weighted mean of Kα1 and Kα2)), based on a DFT-relaxed cell (GGA-PBE, Alexandria).
Intensities are scaled so that the largest is 100.

Main lines, in order of rising 2θ (15 to 90 degrees two-theta):
2θ = 29.13°, d = 3.066 Å, intensity 35
2θ = 30.99°, d = 2.886 Å, intensity 78
2θ = 31.22°, d = 2.865 Å, intensity 98
2θ = 32.27°, d = 2.774 Å, intensity 66
2θ = 32.65°, d = 2.743 Å, intensity 58
2θ = 33.80°, d = 2.652 Å, intensity 62
2θ = 35.05°, d = 2.560 Å, intensity 100
2θ = 61.38°, d = 1.510 Å, intensity 29
2θ = 61.71°, d = 1.503 Å, intensity 28
2θ = 61.97°, d = 1.498 Å, intensity 26

```
Dy2Tm4Th5
1.0
3.5144 0.0000 0.0000
-0.0528 8.6924 0.0000
-0.1030 -1.8726 11.4842
Dy Tm Th
2 4 5
Cartesian
-0.0371 2.9768 4.0767
3.3958 3.8429 7.4075
1.6264 0.8974 6.4105
1.6213 3.9189 10.4691
1.7374 2.9008 1.0151
1.7322 5.9223 5.0736
0.0000 0.0000 0.0000
-0.0304 5.8255 2.0462
1.5822 6.8262 8.4365
1.7765 -0.0064 3.0477
3.3890 0.9943 9.4380
```


# 8
DyTmTh14: theoretical powder XRD pattern (Cu Kα (weighted mean of Kα1 and Kα2)), based on a DFT-relaxed cell (GGA-PBE, Alexandria).
Intensities are scaled so that the largest is 100.

Main lines, in order of rising 2θ (15 to 90 degrees two-theta):
2θ = 29.81°, d = 2.997 Å, intensity 39
2θ = 30.92°, d = 2.892 Å, intensity 34
2θ = 32.75°, d = 2.734 Å, intensity 100
2θ = 37.19°, d = 2.417 Å, intensity 22
2θ = 50.98°, d = 1.791 Å, intensity 26
2θ = 56.17°, d = 1.638 Å, intensity 22
2θ = 60.82°, d = 1.523 Å, intensity 31
2θ = 61.92°, d = 1.499 Å, intensity 11
2θ = 84.24°, d = 1.149 Å, intensity 15
2θ = 86.50°, d = 1.125 Å, intensity 12

```
DyTmTh14
1.0
11.5675 0.0000 0.0000
0.0000 3.5836 6.2049
0.0000 -3.5836 6.2049
Dy Tm Th
1 1 14
Cartesian
0.0000 0.0000 0.0000
0.0000 0.0000 6.2096
0.0000 -1.7946 3.1493
0.0000 1.7946 3.1493
2.8859 -1.7899 7.2569
2.8859 1.7899 7.2569
2.8934 0.0000 4.1589
2.9023 0.0000 10.3609
5.7837 0.0000 2.0775
5.7837 -1.7901 5.1855
5.7837 0.0000 8.2815
5.7837 1.7901 5.1855
8.6652 0.0000 10.3609
8.6740 0.0000 4.1589
8.6815 -1.7899 7.2569
8.6815 1.7899 7.2569
```


# 9
Dy2Tm15Th2: theoretical powder XRD pattern (Cu Kα (weighted mean of Kα1 and Kα2)), based on a DFT-relaxed cell (GGA-PBE, Alexandria).
Intensities are scaled so that the largest is 100.

Main lines, in order of rising 2θ (15 to 90 degrees two-theta):
2θ = 27.62°, d = 3.230 Å, intensity 27
2θ = 28.13°, d = 3.173 Å, intensity 35
2θ = 30.49°, d = 2.932 Å, intensity 24
2θ = 31.63°, d = 2.829 Å, intensity 62
2θ = 32.08°, d = 2.790 Å, intensity 100
2θ = 32.59°, d = 2.747 Å, intensity 61
2θ = 34.68°, d = 2.587 Å, intensity 29
2θ = 36.10°, d = 2.488 Å, intensity 67
2θ = 55.19°, d = 1.664 Å, intensity 22
2θ = 58.16°, d = 1.586 Å, intensity 29

```
Dy2Tm15Th2
1.0
5.4949 3.1725 5.8634
-5.4949 3.1725 5.8634
0.0000 -6.3450 5.8634
Dy Tm Th
2 15 2
Cartesian
0.0000 0.0000 3.2064
0.0000 0.0000 14.3839
-2.7475 -1.5863 5.8634
0.0000 -3.2393 5.3520
-2.8053 1.6197 5.3520
-1.6584 -2.8724 8.7951
-3.3167 0.0000 8.7951
-2.8053 -1.6197 12.2382
-2.7475 1.5863 11.7268
1.6584 -2.8724 8.7951
0.0000 3.1725 5.8634
-1.6584 2.8724 8.7951
2.8053 1.6197 5.3520
3.3167 0.0000 8.7951
1.6584 2.8724 8.7951
2.8053 -1.6197 12.2382
0.0000 3.2393 12.2382
0.0000 0.0000 7.2089
0.0000 0.0000 10.3814
```


# 10
Dy4Tm19Th6: theoretical powder XRD pattern (Cu Kα (weighted mean of Kα1 and Kα2)), based on a DFT-relaxed cell (GGA-PBE, Alexandria).
Intensities are scaled so that the largest is 100.

Main lines, in order of rising 2θ (15 to 90 degrees two-theta):
2θ = 27.05°, d = 3.297 Å, intensity 76
2θ = 28.96°, d = 3.084 Å, intensity 67
2θ = 30.75°, d = 2.907 Å, intensity 100
2θ = 35.66°, d = 2.518 Å, intensity 61
2θ = 37.17°, d = 2.419 Å, intensity 100
2θ = 42.75°, d = 2.115 Å, intensity 24
2θ = 54.68°, d = 1.679 Å, intensity 25
2θ = 61.03°, d = 1.518 Å, intensity 33
2θ = 62.05°, d = 1.496 Å, intensity 25
2θ = 65.05°, d = 1.434 Å, intensity 24

```
Dy4Tm19Th6
1.0
-6.1674 6.1674 6.1674
6.1674 -6.1674 6.1674
6.1674 6.1674 -6.1674
Dy Tm Th
4 19 6
Cartesian
3.9724 3.9724 -3.9724
3.9724 -3.9724 3.9724
2.1949 2.1949 2.1949
-3.9724 3.9724 3.9724
0.0000 0.0000 0.0000
3.2486 0.0000 0.0000
9.0861 0.0000 0.0000
6.9856 -2.7680 2.9998
3.3994 3.1676 -0.8183
3.1676 -0.8183 3.3994
0.0000 3.2486 0.0000
0.0000 0.0000 3.2486
8.9353 3.1676 0.8183
2.9998 6.9856 -2.7680
5.3491 2.7680 2.9998
-0.8183 3.3994 3.1676
2.9998 5.3491 2.7680
2.7680 2.9998 5.3491
0.0000 9.0861 0.0000
0.0000 0.0000 9.0861
3.1676 0.8183 8.9353
-2.7680 2.9998 6.9856
0.8183 8.9353 3.1676
6.1674 0.0000 1.6013
6.1674 4.5661 0.0000
1.6013 6.1674 0.0000
4.5661 0.0000 6.1674
0.0000 1.6013 6.1674
0.0000 6.1674 4.5661
```


# 11
Dy4Tm3Th: theoretical powder XRD pattern (Cu Kα (weighted mean of Kα1 and Kα2)), based on a DFT-relaxed cell (GGA-PBE, Alexandria).
Intensities are scaled so that the largest is 100.

Main lines, in order of rising 2θ (15 to 90 degrees two-theta):
2θ = 28.69°, d = 3.112 Å, intensity 24
2θ = 31.80°, d = 2.814 Å, intensity 24
2θ = 32.89°, d = 2.723 Å, intensity 100
2θ = 43.35°, d = 2.087 Å, intensity 16
2θ = 50.71°, d = 1.800 Å, intensity 7
2θ = 50.88°, d = 1.795 Å, intensity 13
2θ = 57.35°, d = 1.607 Å, intensity 21
2θ = 61.11°, d = 1.516 Å, intensity 8
2θ = 61.26°, d = 1.513 Å, intensity 15
2θ = 61.81°, d = 1.501 Å, intensity 11

```
Dy4Tm3Th
1.0
11.2562 0.0000 0.0000
0.0000 7.2010 0.0000
0.0000 0.0000 6.2106
Dy Tm Th
8 6 2
Cartesian
0.0000 0.9138 0.0000
0.0000 6.2642 3.1285
2.8075 0.9162 2.1321
2.8206 6.2848 5.2373
5.6281 0.9368 0.0233
5.6281 6.2872 3.1053
8.4356 6.2848 5.2373
8.4486 0.9162 2.1321
0.0000 2.7241 3.1219
2.8054 2.7267 5.1729
2.8227 4.4743 2.0676
5.6281 4.4769 0.0166
8.4335 4.4743 2.0676
8.4508 2.7267 5.1729
0.0000 4.4957 0.0254
5.6281 2.7053 3.1307
```


# 12
Dy3Tm8Th2: theoretical powder XRD pattern (Cu Kα (weighted mean of Kα1 and Kα2)), based on a DFT-relaxed cell (GGA-PBE, Alexandria).
Intensities are scaled so that the largest is 100.

Main lines, in order of rising 2θ (15 to 90 degrees two-theta):
2θ = 26.66°, d = 3.344 Å, intensity 13
2θ = 31.16°, d = 2.870 Å, intensity 23
2θ = 32.25°, d = 2.776 Å, intensity 100
2θ = 32.41°, d = 2.763 Å, intensity 67
2θ = 33.50°, d = 2.675 Å, intensity 15
2θ = 35.95°, d = 2.498 Å, intensity 13
2θ = 48.01°, d = 1.895 Å, intensity 10
2θ = 49.19°, d = 1.852 Å, intensity 18
2θ = 59.06°, d = 1.564 Å, intensity 9
2θ = 61.72°, d = 1.503 Å, intensity 9

```
Dy3Tm8Th2
1.0
6.5775 0.0000 0.0000
0.0000 17.2213 0.0000
-2.1667 0.0000 7.2632
Dy Tm Th
6 16 4
Cartesian
0.0000 0.0000 0.0000
-1.0834 8.6106 3.6316
2.3972 4.2332 0.6819
1.3138 4.3774 4.3136
3.0969 12.8439 2.9497
2.0135 12.9881 6.5813
0.2427 1.9829 2.3180
-0.8407 6.6278 5.9496
-0.1987 12.7300 3.9289
0.8846 13.1020 0.2973
0.5478 10.0008 6.3236
1.6311 15.8311 2.6920
1.9455 9.8650 2.5358
0.8621 15.9670 6.1674
3.5486 1.2543 1.0959
2.4653 7.3563 4.7275
2.7796 1.3902 4.5712
3.8630 7.2204 0.9396
3.5261 4.1193 6.9660
4.6095 4.4913 3.3344
5.2514 10.5935 1.3136
4.1680 15.2384 4.9452
-0.5822 1.8827 5.3907
0.5012 6.7279 1.7591
3.9096 10.4933 5.5041
4.9929 15.3386 1.8725
```